Record 1
For CsNaHg2BiSb, the GGA-PBE geometry in OQMD gives the calculated powder diffraction line list in this record (Cu Kα).
Lines closer than 0.1° are merged.

Most intense lines, 10° ≤ 2θ ≤ 90°, most intense first:
27.36 deg, d = 3.260 Å, intensity 100.0, (0 1 2)
36.23 deg, d = 2.480 Å, intensity 88.3, (1 1 0)
45.57 deg, d = 1.990 Å, intensity 54.3, (1 1 3)
22.53 deg, d = 3.947 Å, intensity 44.4, (1 0 1)
26.71 deg, d = 3.337 Å, intensity 37.6, (0 0 3)
50.27 deg, d = 1.815 Å, intensity 30.3, (0 1 5)
34.02 deg, d = 2.635 Å, intensity 26.0, (0 1 3)
17.72 deg, d = 5.006 Å, intensity 25.1, (0 0 2)
45.99 deg, d = 1.974 Å, intensity 24.7, (2 0 2)
59.90 deg, d = 1.544 Å, intensity 22.7, (1 2 2)

Crystal structure
```
data_CsNaHg2BiSb
_chemical_formula_sum 'Cs1 Na1 Hg2 Bi1 Sb1'
_space_group_name_H-M_alt 'P 3 m 1'
_space_group_IT_number 156
_cell_length_a 4.9594
_cell_length_b 4.9594
_cell_length_c 10.0123
_cell_angle_alpha 90.00
_cell_angle_beta 90.00
_cell_angle_gamma 120.00
loop_
_space_group_symop_operation_xyz
'x,y,z'
'-y,x-y,z'
'-x+y,-x,z'
'-y,-x,z'
'-x+y,y,z'
'x,x-y,z'
loop_
_atom_site_label
_atom_site_fract_x
_atom_site_fract_y
_atom_site_fract_z
Cs1 0.0000 0.0000 0.0000
Na1 0.0000 0.0000 0.5050
Hg1 0.3333 0.6667 0.6804
Hg2 0.6667 0.3333 0.3513
Bi1 0.3333 0.6667 0.2827
Sb1 0.6667 0.3333 0.7206
```

Record 2
For Cs2Hg2BiP, the GGA-PBE geometry in OQMD gives the calculated powder diffraction line list in this record (Cu Kα).
Lines closer than 0.1° are merged.

Most intense lines, 10° ≤ 2θ ≤ 90°, most intense first:
26.03 deg, d = 3.423 Å, intensity 100.0, (1 0 2)
36.91 deg, d = 2.435 Å, intensity 46.5, (1 1 0)
48.63 deg, d = 1.872 Å, intensity 40.0, (1 1 4)
30.52 deg, d = 2.929 Å, intensity 24.0, (0 0 4)
15.13 deg, d = 5.858 Å, intensity 23.9, (0 0 2)
45.73 deg, d = 1.984 Å, intensity 22.0, (2 0 2)
60.16 deg, d = 1.538 Å, intensity 19.7, (2 1 2)
40.10 deg, d = 2.249 Å, intensity 14.0, (1 1 2)
22.40 deg, d = 3.968 Å, intensity 13.5, (1 0 1)
51.58 deg, d = 1.772 Å, intensity 12.8, (1 0 6)

Crystal structure
```
data_Cs2Hg2BiP
_chemical_formula_sum 'Cs2 Hg2 Bi1 P1'
_space_group_name_H-M_alt 'P -6 m 2'
_space_group_IT_number 187
_space_group_name_Hall 'P -6 2'
_cell_length_a 4.8702
_cell_length_b 4.8702
_cell_length_c 11.7154
_cell_angle_alpha 90.00
_cell_angle_beta 90.00
_cell_angle_gamma 120.00
loop_
_atom_site_label
_atom_site_fract_x
_atom_site_fract_y
_atom_site_fract_z
Cs1 0.0000 0.0000 0.2309
Hg1 0.3333 0.6667 0.0000
Hg2 0.6667 0.3333 0.5000
Bi1 0.3333 0.6667 0.5000
P1 0.6667 0.3333 0.0000
```